Simulated powder diffraction line list
Compound: Cu2BiN
Radiation: Cu Kα (λ = 1.5418 Å)
Structure: a GGA-PBE-relaxed structure

Atomic structure:
```
Cu2BiN
1.0
5.001 0.000 0.000
0.000 5.001 0.000
0.000 0.000 10.953
Cu Bi N
8 4 4
direct
0.000 0.000 0.000
0.000 0.500 0.000
0.250 0.250 0.750
0.250 0.750 0.250
0.500 0.000 0.500
0.500 0.500 0.500
0.750 0.250 0.750
0.750 0.750 0.250
0.000 0.250 0.375
0.000 0.750 0.625
0.500 0.250 0.125
0.500 0.750 0.875
0.000 0.250 0.875
0.000 0.750 0.125
0.500 0.250 0.625
0.500 0.750 0.375
```

Top 8 peaks for 2θ = 15–90°, sorted by position:
d 2.971, rel. 1000, hkl 1 1 2; d 2.949, rel. 852, hkl 1 0 3; d 2.501, rel. 314, hkl 2 0 0; d 2.191, rel. 757, hkl 2 1 1; d 2.007, rel. 292, hkl 1 0 5; d 1.847, rel. 256, hkl 2 0 4; d 1.519, rel. 272, hkl 3 1 2; d 1.485, rel. 321, hkl 2 2 4